Theoretical PXRD pattern of NdCr2CdO8 for CuKα, from DFT lattice parameters and positions (PBE+U).
No peak broadening, texture or thermal motion is included.

The 12 most intense peaks (10 to 90 degrees two-theta), in order of rising 2θ:
Position (°2θ)  d [Å]  I (rel.)
18.4  4.823  21.6
24.1  3.691  100.0
32.9  2.719  66.4
34.4  2.610  20.2
39.2  2.296  12.1
46.6  1.949  10.7
48.3  1.883  55.2
49.4  1.846  15.3
55.7  1.651  12.5
60.6  1.527  16.1
71.6  1.318  12.5
84.5  1.146  10.6

Structural model:
```
NdCr2CdO8
1.0
-3.691 3.691 3.185
3.691 -3.691 3.185
3.691 3.691 -3.185
Nd Cr Cd O
1 2 1 8
direct
0.000 0.000 0.000
0.500 0.500 0.000
0.750 0.250 0.500
0.250 0.750 0.500
0.338 0.161 0.823
0.338 0.515 0.177
0.399 0.083 0.316
0.485 0.662 0.823
0.766 0.083 0.684
0.839 0.662 0.177
0.917 0.234 0.316
0.917 0.601 0.684
```